Calculated PXRD pattern of BeCuPt3 for Cu Kα, 1.54184 Å, from a structure optimized by DFT (PBE).
Intensities are scaled so that the largest is 100.

Peak list (10 most intense, 2θ from 10° to 90°, sorted by position)
(hkl), 2θ (°), Rel. int.
2 0 1, 27.54, 47
0 1 0, 32.20, 100
2 0 2, 36.60, 79
3 0 1, 38.75, 98
2 1 1, 42.87, 80
1 0 3, 43.35, 39
1 1 2, 44.52, 56
2 1 2, 49.53, 50
3 1 1, 51.24, 63
3 1 4, 78.06, 45

Crystal structure
```
data_BeCuPt3
_space_group_name_H-M_alt 'P 1'
_space_group_IT_number 1
_space_group_name_Hall 'P 1'
_cell_length_a 7.462
_cell_length_b 2.780
_cell_length_c 6.522
_cell_angle_alpha 90.00
_cell_angle_beta 90.00
_cell_angle_gamma 90.00
loop_
_atom_site_label
_atom_site_type_symbol
_atom_site_fract_x
_atom_site_fract_y
_atom_site_fract_z
_atom_site_occupancy
Be1 Be 0.000 0.000 0.000 1
Be2 Be 0.500 0.000 0.000 1
Cu1 Cu 0.250 0.000 0.414 1
Cu2 Cu 0.750 0.000 0.586 1
Pt1 Pt 0.062 0.500 0.697 1
Pt2 Pt 0.250 0.500 0.065 1
Pt3 Pt 0.438 0.500 0.697 1
Pt4 Pt 0.562 0.500 0.303 1
Pt5 Pt 0.750 0.500 0.935 1
Pt6 Pt 0.938 0.500 0.303 1
```

Calculated PXRD pattern of YBe2CuPt5 for Cu Kα, 1.54184 Å, from a structure optimized by DFT (PBE).
Intensities are scaled so that the largest is 100.

Peak list (10 most intense, 2θ from 10° to 90°, sorted by position)
(hkl), 2θ (°), Rel. int.
1 1 0, 28.95, 16
1 1 1, 31.62, 22
0 0 3, 37.97, 12
1 1 2, 38.65, 100
2 0 0, 41.40, 49
2 0 3, 57.42, 14
2 2 0, 59.98, 16
2 0 4, 68.03, 15
1 1 5, 73.29, 19
3 1 2, 73.67, 30

Crystal structure
```
data_YBe2CuPt5
_space_group_name_H-M_alt 'P 1'
_space_group_IT_number 1
_space_group_name_Hall 'P 1'
_cell_length_a 4.362
_cell_length_b 4.362
_cell_length_c 7.108
_cell_angle_alpha 90.00
_cell_angle_beta 90.00
_cell_angle_gamma 90.00
loop_
_atom_site_label
_atom_site_type_symbol
_atom_site_fract_x
_atom_site_fract_y
_atom_site_fract_z
_atom_site_occupancy
Y1 Y 0.000 0.000 0.000 1
Be1 Be 0.500 0.500 0.342 1
Be2 Be 0.500 0.500 0.658 1
Cu1 Cu 0.000 0.000 0.500 1
Pt1 Pt 0.000 0.500 0.285 1
Pt2 Pt 0.000 0.500 0.715 1
Pt3 Pt 0.500 0.000 0.285 1
Pt4 Pt 0.500 0.000 0.715 1
Pt5 Pt 0.500 0.500 0.000 1
```